Record 1
# MnSe2O6
Simulated powder X-ray diffraction pattern, Cu Ka. Input: the GGA+U geometry in the Materials Project.
Peak positions follow from Bragg's law for the DFT cell and can differ from measured ones.

Main lines, in order of rising 2θ (10 to 80 degrees two-theta):
- 17.53 deg, d = 5.058 Å, intensity 100.0
- 24.51 deg, d = 3.632 Å, intensity 80.2
- 24.72 deg, d = 3.601 Å, intensity 87.2
- 27.23 deg, d = 3.275 Å, intensity 42.6
- 28.54 deg, d = 3.128 Å, intensity 26.9
- 33.40 deg, d = 2.683 Å, intensity 21.1
- 34.68 deg, d = 2.586 Å, intensity 27.4
- 40.52 deg, d = 2.226 Å, intensity 20.9
- 42.68 deg, d = 2.118 Å, intensity 16.2
- 43.07 deg, d = 2.100 Å, intensity 40.2

Atomic structure:
Cell lengths 5.1734, 6.8941, 9.0114 Å; angles 90.00, 124.32, 90.00 degrees
Fractional coordinates of all 18 atoms:
1 Mn 0.0000 0.0000 0.0000
2 Mn 0.0000 0.5000 0.5000
3 Se 0.3142 0.1748 0.8018
4 Se 0.3142 0.3252 0.3018
5 Se 0.6858 0.6748 0.6982
6 Se 0.6858 0.8252 0.1982
7 O 0.1955 0.0838 0.2461
8 O 0.1955 0.4162 0.7461
9 O 0.2860 0.7197 0.5836
10 O 0.2860 0.7803 0.0836
11 O 0.2929 0.1631 0.9898
12 O 0.2929 0.3369 0.4898
13 O 0.7071 0.6631 0.5102
14 O 0.7071 0.8369 0.0102
15 O 0.7140 0.2197 0.9164
16 O 0.7140 0.2803 0.4164
17 O 0.8045 0.5838 0.2539
18 O 0.8045 0.9162 0.7539

***

Record 2
# MgFe8O8F8
Simulated powder X-ray diffraction pattern, Cu Ka. Input: the GGA+U geometry in the Materials Project.
Peak positions follow from Bragg's law for the DFT cell and can differ from measured ones.

Main lines, in order of rising 2θ (10 to 80 degrees two-theta):
- 17.73 deg, d = 5.002 Å, intensity 14.5
- 23.64 deg, d = 3.763 Å, intensity 87.8
- 26.59 deg, d = 3.352 Å, intensity 100.0
- 34.44 deg, d = 2.604 Å, intensity 80.7
- 37.98 deg, d = 2.369 Å, intensity 31.3
- 39.98 deg, d = 2.255 Å, intensity 14.9
- 48.93 deg, d = 1.861 Å, intensity 32.8
- 52.18 deg, d = 1.753 Å, intensity 44.6
- 54.77 deg, d = 1.676 Å, intensity 16.7
- 60.75 deg, d = 1.525 Å, intensity 17.3

Atomic structure:
Cell lengths 10.0647, 3.0494, 10.0944 Å; angles 90.00, 96.62, 90.00 degrees
Fractional coordinates of all 25 atoms:
1 Mg 0.0000 0.0000 0.0000
2 Fe 0.1456 0.0000 0.3343
3 Fe 0.1918 0.0000 0.8461
4 Fe 0.3583 0.5000 0.1264
5 Fe 0.4045 0.5000 0.6001
6 Fe 0.6515 0.0000 0.3740
7 Fe 0.6736 0.0000 0.8578
8 Fe 0.8449 0.5000 0.1604
9 Fe 0.8642 0.5000 0.6290
10 O 0.0785 0.5000 0.9274
11 O 0.2303 0.5000 0.2506
12 O 0.3257 0.0000 0.0156
13 O 0.7202 0.5000 0.2823
14 O 0.7622 0.5000 0.7752
15 O 0.7865 0.0000 0.5253
16 O 0.8005 0.0000 0.0248
17 O 0.9799 0.0000 0.2037
18 F 0.0662 0.5000 0.4352
19 F 0.2677 0.5000 0.7294
20 F 0.3006 0.0000 0.4889
21 F 0.4840 0.0000 0.2329
22 F 0.5180 0.0000 0.7037
23 F 0.5455 0.5000 0.4603
24 F 0.5741 0.5000 0.9341
25 F 0.9969 0.0000 0.6874

***

Record 3
# Li8Co3NiO8
Simulated powder X-ray diffraction pattern, Cu Ka. Input: the GGA+U geometry in the Materials Project.
Peak positions follow from Bragg's law for the DFT cell and can differ from measured ones.

Main lines, in order of rising 2θ (10 to 80 degrees two-theta):
- 20.80 deg, d = 4.270 Å, intensity 100.0
- 20.93 deg, d = 4.245 Å, intensity 74.0
- 30.41 deg, d = 2.939 Å, intensity 24.7
- 33.32 deg, d = 2.689 Å, intensity 41.4
- 33.63 deg, d = 2.665 Å, intensity 41.0
- 34.83 deg, d = 2.576 Å, intensity 34.4
- 39.67 deg, d = 2.272 Å, intensity 25.0
- 39.88 deg, d = 2.261 Å, intensity 45.0
- 42.12 deg, d = 2.145 Å, intensity 22.9
- 48.06 deg, d = 1.893 Å, intensity 16.1

Atomic structure:
Cell lengths 5.3302, 5.3788, 7.0204 Å; angles 89.85, 89.83, 90.00 degrees
Fractional coordinates of all 20 atoms:
1 Li 0.0000 0.0000 0.0000
2 Li 0.0042 0.4819 0.3138
3 Li 0.3385 0.8166 0.1658
4 Li 0.3442 0.3143 0.1495
5 Li 0.4964 0.5660 0.5021
6 Li 0.5017 0.0844 0.8136
7 Li 0.8359 0.7496 0.6600
8 Li 0.8419 0.2556 0.6501
9 Co 0.2364 0.9830 0.5204
10 Co 0.7372 0.0799 0.2967
11 Co 0.7392 0.5846 0.0208
12 Ni 0.2348 0.4921 0.7991
13 O 0.1178 0.0933 0.2686
14 O 0.1193 0.5902 0.0521
15 O 0.1365 0.6220 0.5422
16 O 0.1385 0.1292 0.7684
17 O 0.6149 0.4728 0.7715
18 O 0.6172 0.9762 0.5476
19 O 0.6364 0.9439 0.0446
20 O 0.6386 0.4405 0.2714

***

Record 4
# MgNiMoP2O9
Simulated powder X-ray diffraction pattern, Cu Ka. Input: the GGA+U geometry in the Materials Project.
Peak positions follow from Bragg's law for the DFT cell and can differ from measured ones.

Main lines, in order of rising 2θ (10 to 80 degrees two-theta):
- 17.10 deg, d = 5.185 Å, intensity 86.2
- 17.99 deg, d = 4.930 Å, intensity 42.1
- 24.20 deg, d = 3.678 Å, intensity 100.0
- 27.59 deg, d = 3.233 Å, intensity 37.3
- 30.15 deg, d = 2.964 Å, intensity 26.7
- 30.70 deg, d = 2.912 Å, intensity 63.5
- 32.64 deg, d = 2.743 Å, intensity 35.7
- 33.77 deg, d = 2.654 Å, intensity 35.6
- 54.73 deg, d = 1.677 Å, intensity 24.5
- 56.38 deg, d = 1.632 Å, intensity 31.9

Atomic structure:
Cell lengths 6.4661, 7.6177, 14.1566 Å; angles 89.96, 89.94, 89.97 degrees
Fractional coordinates of all 56 atoms:
1 Mg 0.2500 0.0528 0.2160
2 Mg 0.2499 0.4473 0.7159
3 Mg 0.7501 0.5527 0.2841
4 Mg 0.7500 0.9472 0.7840
5 Ni 0.0000 0.0000 0.0000
6 Ni 0.0000 0.5000 0.5000
7 Ni 0.5000 0.0000 0.0000
8 Ni 0.5000 0.5000 0.5000
9 Mo 0.2502 0.6410 0.1172
10 Mo 0.2498 0.8581 0.6170
11 Mo 0.7502 0.1419 0.3830
12 Mo 0.7498 0.3590 0.8828
13 P 0.2501 0.1524 0.4253
14 P 0.2499 0.3475 0.9253
15 P 0.2501 0.6222 0.3117
16 P 0.2499 0.8779 0.8113
17 P 0.7501 0.1221 0.1887
18 P 0.7499 0.3778 0.6883
19 P 0.7501 0.6525 0.0747
20 P 0.7499 0.8476 0.5747
21 O 0.0429 0.6153 0.3664
22 O 0.0428 0.8846 0.8664
23 O 0.0684 0.1234 0.3562
24 O 0.0682 0.3768 0.8562
25 O 0.2499 0.0133 0.5041
26 O 0.2500 0.0260 0.7347
27 O 0.2497 0.1654 0.9704
28 O 0.2500 0.3345 0.4703
29 O 0.2502 0.4741 0.2348
30 O 0.2500 0.4863 0.0041
31 O 0.2500 0.7074 0.7475
32 O 0.2498 0.7925 0.2472
33 O 0.2501 0.8726 0.0633
34 O 0.2510 0.6279 0.5633
35 O 0.4316 0.1234 0.3560
36 O 0.4315 0.3764 0.8561
37 O 0.4571 0.6155 0.3662
38 O 0.4571 0.8847 0.8662
39 O 0.5429 0.1153 0.1338
40 O 0.5429 0.3845 0.6338
41 O 0.5685 0.6236 0.1439
42 O 0.5684 0.8766 0.6440
43 O 0.7490 0.3721 0.4367
44 O 0.7499 0.1274 0.9367
45 O 0.7502 0.2075 0.7528
46 O 0.7500 0.2926 0.2525
47 O 0.7500 0.5137 0.9959
48 O 0.7498 0.5259 0.7652
49 O 0.7500 0.6655 0.5297
50 O 0.7503 0.8346 0.0296
51 O 0.7500 0.9740 0.2653
52 O 0.7501 0.9867 0.4959
53 O 0.9318 0.6232 0.1438
54 O 0.9316 0.8766 0.6438
55 O 0.9572 0.1154 0.1336
56 O 0.9571 0.3847 0.6336

***

Record 5
# MgV4Co2O12
Simulated powder X-ray diffraction pattern, Cu Ka. Input: the GGA+U geometry in the Materials Project.
Peak positions follow from Bragg's law for the DFT cell and can differ from measured ones.

Main lines, in order of rising 2θ (10 to 80 degrees two-theta):
- 12.70 deg, d = 6.971 Å, intensity 50.1
- 24.67 deg, d = 3.608 Å, intensity 100.0
- 25.56 deg, d = 3.485 Å, intensity 50.0
- 26.62 deg, d = 3.349 Å, intensity 47.3
- 27.70 deg, d = 3.221 Å, intensity 33.9
- 28.84 deg, d = 3.096 Å, intensity 76.3
- 31.38 deg, d = 2.850 Å, intensity 33.0
- 34.20 deg, d = 2.622 Å, intensity 28.9
- 39.81 deg, d = 2.264 Å, intensity 25.6
- 63.25 deg, d = 1.470 Å, intensity 30.0

Atomic structure:
Cell lengths 7.2521, 7.2521, 5.6648 Å; angles 105.99, 105.99, 86.57 degrees
Fractional coordinates of all 19 atoms:
1 Mg 0.0000 0.0000 0.0000
2 V 0.0215 0.5948 0.5167
3 V 0.1923 0.4062 0.0268
4 V 0.4052 0.9785 0.4833
5 V 0.5938 0.8077 0.9732
6 Co 0.6010 0.3990 0.5000
7 Co 0.6969 0.3031 0.0000
8 O 0.1267 0.6118 0.2751
9 O 0.1815 0.4981 0.7443
10 O 0.1876 0.0452 0.3327
11 O 0.3882 0.8733 0.7249
12 O 0.4347 0.3423 0.1470
13 O 0.5019 0.8185 0.2557
14 O 0.5567 0.1847 0.6303
15 O 0.6577 0.5653 0.8530
16 O 0.7423 0.0122 0.0548
17 O 0.8153 0.4433 0.3697
18 O 0.9548 0.8124 0.6673
19 O 0.9878 0.2577 0.9452